The following is a simulated X-ray diffraction stick pattern of NdY3. It was derived from DFT lattice parameters and positions (PBE), using Cu Kα, 1.54184 Å.

Most intense lines, 2θ = 10–90°, by intensity:
| d [Å] | I/Imax | (hkl) |
| --- | --- | --- |
| 2.786 | 100.0 | 2 0 1 |
| 2.908 | 25.0 | 0 0 2 |
| 3.174 | 23.8 | 2 0 0 |
| 1.550 | 21.9 | 2 2 2 |
| 1.654 | 20.5 | 2 0 3 |
| 1.832 | 19.1 | 2 2 0 |
| 1.531 | 15.8 | 4 0 1 |
| 2.144 | 15.6 | 2 0 2 |
| 1.175 | 13.0 | 4 2 1 |
| 1.139 | 7.9 | 2 2 4 |

```
data_NdY3
_space_group_name_H-M_alt 'P 63/m m c'
_space_group_IT_number 194
_space_group_name_Hall '-P 6c 2c'
_cell_length_a 7.3296
_cell_length_b 7.3296
_cell_length_c 5.8156
_cell_angle_alpha 90.00
_cell_angle_beta 90.00
_cell_angle_gamma 120.00
loop_
_atom_site_label
_atom_site_type_symbol
_atom_site_fract_x
_atom_site_fract_y
_atom_site_fract_z
Nd1 Nd 0.3333 0.6667 0.2500
Y1 Y 0.1659 0.3317 0.7500
```


The following is a simulated X-ray diffraction stick pattern of Cr3AsC. It was derived from DFT lattice parameters and positions (PBE), using Cu Kα, 1.54184 Å.

Most intense lines, 2θ = 10–90°, by intensity:
| d [Å] | I/Imax | (hkl) |
| --- | --- | --- |
| 2.150 | 100.0 | 1 3 1 |
| 2.113 | 80.9 | 0 4 2 |
| 2.245 | 60.3 | 1 3 0 |
| 2.270 | 59.4 | 1 1 2 |
| 1.877 | 55.4 | 1 1 3 |
| 2.239 | 48.1 | 0 2 3 |
| 1.243 | 34.2 | 1 3 5 |
| 1.217 | 24.2 | 2 4 2 |
| 1.866 | 24.0 | 0 0 4 |
| 1.489 | 22.9 | 2 0 0 |

```
data_Cr3AsC
_space_group_name_H-M_alt 'C m c m'
_space_group_IT_number 63
_space_group_name_Hall '-C 2c 2'
_cell_length_a 2.978
_cell_length_b 10.251
_cell_length_c 7.466
_cell_angle_alpha 90.00
_cell_angle_beta 90.00
_cell_angle_gamma 90.00
loop_
_atom_site_label
_atom_site_type_symbol
_atom_site_fract_x
_atom_site_fract_y
_atom_site_fract_z
Cr1 Cr 0.000 0.039 0.250
Cr2 Cr 0.000 0.377 0.052
As1 As 0.000 0.262 0.750
C1 C 0.000 0.000 0.000
```


The following is a simulated X-ray diffraction stick pattern of Na2CuAuCl6. It was derived from DFT lattice parameters and positions (PBE), using Cu Kα, 1.54184 Å.

Most intense lines, 2θ = 10–90°, by intensity:
| d [Å] | I/Imax | (hkl) |
| --- | --- | --- |
| 4.946 | 100.0 | 2 0 0 |
| 3.497 | 58.9 | 2 2 0 |
| 2.473 | 55.9 | 4 0 0 |
| 2.212 | 48.1 | 4 2 0 |
| 1.749 | 36.4 | 4 4 0 |
| 2.019 | 27.3 | 4 2 2 |
| 5.711 | 27.3 | 1 1 1 |
| 1.649 | 23.5 | 6 0 0 |
| 2.982 | 23.0 | 3 1 1 |
| 1.106 | 15.9 | 8 4 0 |

```
data_Na2CuAuCl6
_space_group_name_H-M_alt 'F m -3 m'
_space_group_IT_number 225
_space_group_name_Hall '-F 4 2 3'
_cell_length_a 9.891
_cell_length_b 9.891
_cell_length_c 9.891
_cell_angle_alpha 90.00
_cell_angle_beta 90.00
_cell_angle_gamma 90.00
loop_
_atom_site_label
_atom_site_type_symbol
_atom_site_fract_x
_atom_site_fract_y
_atom_site_fract_z
Na1 Na 0.250 0.250 0.250
Cu1 Cu 0.000 0.000 0.000
Au1 Au 0.000 0.000 0.500
Cl1 Cl 0.000 0.000 0.243
```